Record 1
Pr2Sc2Bi2P: theoretical powder XRD pattern (Cu Kα), based on a cell relaxed with PBE.
Kinematic intensities with the Lorentz-polarization factor, no thermal factor.

```
data_Pr2Sc2Bi2P
_chemical_formula_sum 'Pr4 Sc4 Bi4 P2'
_cell_length_a 4.8737
_cell_length_b 4.8737
_cell_length_c 16.7206
_cell_angle_alpha 90.00
_cell_angle_beta 90.00
_cell_angle_gamma 90.00
_space_group_name_H-M_alt 'P 1'
_space_group_IT_number 1
loop_
_space_group_symop_operation_xyz
'x,y,z'
loop_
_atom_site_label
_atom_site_fract_x
_atom_site_fract_y
_atom_site_fract_z
Pr1 0.0000 0.0000 0.1694
Pr2 0.0000 0.0000 0.8306
Pr3 0.5000 0.5000 0.3306
Pr4 0.5000 0.5000 0.6694
Sc1 0.0000 0.5000 0.0000
Sc2 0.0000 0.5000 0.5000
Sc3 0.5000 0.0000 0.0000
Sc4 0.5000 0.0000 0.5000
Bi1 0.0000 0.0000 0.3685
Bi2 0.0000 0.0000 0.6315
Bi3 0.5000 0.5000 0.1315
Bi4 0.5000 0.5000 0.8685
P1 0.0000 0.0000 0.0000
P2 0.5000 0.5000 0.5000
```

Largest 10 diffraction maxima, in order of rising 2θ, 15° ≤ 2θ ≤ 90°:
| 2θ (°) | I/Imax |
| --- | --- |
| 21.26 | 32 |
| 25.85 | 100 |
| 28.00 | 24 |
| 32.47 | 49 |
| 33.71 | 88 |
| 36.89 | 66 |
| 42.96 | 23 |
| 49.95 | 29 |
| 53.15 | 23 |
| 64.43 | 27 |

---

Record 2
Y5TmSc2: theoretical powder XRD pattern (Cu Kα), based on a cell relaxed with PBE.
Kinematic intensities with the Lorentz-polarization factor, no thermal factor.

```
data_Y5TmSc2
_chemical_formula_sum 'Y5 Tm1 Sc2'
_cell_length_a 8.2698
_cell_length_b 7.1129
_cell_length_c 6.5709
_cell_angle_alpha 74.25
_cell_angle_beta 55.87
_cell_angle_gamma 49.88
_space_group_name_H-M_alt 'P 1'
_space_group_IT_number 1
loop_
_space_group_symop_operation_xyz
'x,y,z'
loop_
_atom_site_label
_atom_site_fract_x
_atom_site_fract_y
_atom_site_fract_z
Y1 0.0000 0.0000 0.0000
Y2 0.0042 0.5051 0.9958
Y3 0.0839 0.0839 0.4161
Y4 0.5051 0.0042 0.4949
Y5 0.5839 0.5839 0.9161
Tm1 0.5004 0.5004 0.4996
Sc1 0.0879 0.5857 0.4143
Sc2 0.5857 0.0879 0.9121
```

Largest 10 diffraction maxima, in order of rising 2θ, 15° ≤ 2θ ≤ 90°:
| 2θ (°) | I/Imax |
| --- | --- |
| 28.97 | 28 |
| 32.43 | 23 |
| 33.30 | 100 |
| 44.04 | 17 |
| 51.35 | 20 |
| 58.40 | 19 |
| 62.06 | 21 |
| 62.55 | 10 |
| 85.18 | 8 |
| 89.96 | 7 |

---

Record 3
PmPr10Sm4: theoretical powder XRD pattern (Cu Kα), based on a cell relaxed with PBE.
Kinematic intensities with the Lorentz-polarization factor, no thermal factor.

```
data_PmPr10Sm4
_chemical_formula_sum 'Pm1 Pr10 Sm4'
_cell_length_a 9.7066
_cell_length_b 9.7066
_cell_length_c 9.7066
_cell_angle_alpha 99.55
_cell_angle_beta 99.55
_cell_angle_gamma 131.93
_space_group_name_H-M_alt 'P 1'
_space_group_IT_number 1
loop_
_space_group_symop_operation_xyz
'x,y,z'
loop_
_atom_site_label
_atom_site_fract_x
_atom_site_fract_y
_atom_site_fract_z
Pm1 0.0000 0.0000 0.0000
Pr1 0.0497 0.1509 0.6999
Pr2 0.1509 0.4510 0.1012
Pr3 0.2500 0.7500 0.5000
Pr4 0.3498 0.0497 0.8988
Pr5 0.4510 0.3498 0.3001
Pr6 0.5490 0.6502 0.6999
Pr7 0.6502 0.9503 0.1012
Pr8 0.7500 0.2500 0.5000
Pr9 0.8491 0.5490 0.8988
Pr10 0.9503 0.8491 0.3001
Sm1 0.2005 0.6007 0.8012
Sm2 0.3993 0.2005 0.5998
Sm3 0.6007 0.7995 0.4002
Sm4 0.7995 0.3993 0.1988
```

Largest 10 diffraction maxima, in order of rising 2θ, 15° ≤ 2θ ≤ 90°:
| 2θ (°) | I/Imax |
| --- | --- |
| 19.41 | 27 |
| 22.45 | 12 |
| 31.95 | 100 |
| 37.66 | 15 |
| 45.77 | 12 |
| 45.91 | 6 |
| 50.20 | 7 |
| 56.95 | 39 |
| 66.84 | 8 |
| 75.90 | 11 |

---

Record 4
K4Tm3UTe8: theoretical powder XRD pattern (Cu Kα), based on a cell relaxed with PBE.
Kinematic intensities with the Lorentz-polarization factor, no thermal factor.

```
data_K4Tm3UTe8
_chemical_formula_sum 'K4 Tm3 U1 Te8'
_cell_length_a 9.7299
_cell_length_b 9.7299
_cell_length_c 9.7299
_cell_angle_alpha 54.77
_cell_angle_beta 54.77
_cell_angle_gamma 54.77
_space_group_name_H-M_alt 'P 1'
_space_group_IT_number 1
loop_
_space_group_symop_operation_xyz
'x,y,z'
loop_
_atom_site_label
_atom_site_fract_x
_atom_site_fract_y
_atom_site_fract_z
K1 0.0000 0.0000 0.0000
K2 0.0000 0.5000 0.5000
K3 0.5000 0.0000 0.5000
K4 0.5000 0.5000 0.0000
Tm1 0.0000 0.0000 0.5000
Tm2 0.0000 0.5000 0.0000
Tm3 0.5000 0.0000 0.0000
U1 0.5000 0.5000 0.5000
Te1 0.2298 0.7392 0.7392
Te2 0.2351 0.2351 0.2351
Te3 0.2608 0.2608 0.7702
Te4 0.2608 0.7702 0.2608
Te5 0.7392 0.2298 0.7392
Te6 0.7392 0.7392 0.2298
Te7 0.7649 0.7649 0.7649
Te8 0.7702 0.2608 0.2608
```

Largest 10 diffraction maxima, in order of rising 2θ, 15° ≤ 2θ ≤ 90°:
| 2θ (°) | I/Imax |
| --- | --- |
| 27.15 | 100 |
| 34.35 | 21 |
| 37.20 | 35 |
| 40.31 | 37 |
| 41.83 | 13 |
| 46.71 | 13 |
| 49.28 | 19 |
| 56.01 | 11 |
| 61.13 | 11 |
| 65.48 | 16 |

---

Record 5
In3Hg: theoretical powder XRD pattern (Cu Kα), based on a cell relaxed with PBE.
Kinematic intensities with the Lorentz-polarization factor, no thermal factor.

```
data_In3Hg
_chemical_formula_sum 'In3 Hg1'
_cell_length_a 3.2866
_cell_length_b 5.6688
_cell_length_c 5.7801
_cell_angle_alpha 90.00
_cell_angle_beta 92.81
_cell_angle_gamma 90.00
_space_group_name_H-M_alt 'P 1'
_space_group_IT_number 1
loop_
_space_group_symop_operation_xyz
'x,y,z'
loop_
_atom_site_label
_atom_site_fract_x
_atom_site_fract_y
_atom_site_fract_z
In1 0.0000 0.0000 0.0000
In2 0.2682 0.5000 0.7494
In3 0.7318 0.5000 0.2506
Hg1 0.5000 0.0000 0.5000
```

Largest 10 diffraction maxima, in order of rising 2θ, 15° ≤ 2θ ≤ 90°:
| 2θ (°) | I/Imax |
| --- | --- |
| 31.56 | 65 |
| 32.02 | 61 |
| 34.59 | 100 |
| 34.88 | 98 |
| 45.58 | 46 |
| 58.18 | 22 |
| 58.37 | 22 |
| 58.55 | 21 |
| 59.12 | 21 |
| 63.91 | 25 |

---

Record 6
Na4NiBr6: theoretical powder XRD pattern (Cu Kα), based on a cell relaxed with PBE.
Kinematic intensities with the Lorentz-polarization factor, no thermal factor.

```
data_Na4NiBr6
_chemical_formula_sum 'Na8 Ni2 Br12'
_cell_length_a 8.3840
_cell_length_b 8.3840
_cell_length_c 8.6099
_cell_angle_alpha 90.00
_cell_angle_beta 90.00
_cell_angle_gamma 90.00
_space_group_name_H-M_alt 'P 1'
_space_group_IT_number 1
loop_
_space_group_symop_operation_xyz
'x,y,z'
loop_
_atom_site_label
_atom_site_fract_x
_atom_site_fract_y
_atom_site_fract_z
Na1 0.1940 0.3060 0.2500
Na2 0.1940 0.3060 0.7500
Na3 0.3060 0.8060 0.2500
Na4 0.3060 0.8060 0.7500
Na5 0.6940 0.1940 0.2500
Na6 0.6940 0.1940 0.7500
Na7 0.8060 0.6940 0.2500
Na8 0.8060 0.6940 0.7500
Ni1 0.0000 0.0000 0.0000
Ni2 0.5000 0.5000 0.5000
Br1 0.0000 0.0000 0.2952
Br2 0.0000 0.0000 0.7048
Br3 0.0743 0.6990 0.0000
Br4 0.1990 0.5743 0.5000
Br5 0.3010 0.0743 0.0000
Br6 0.4257 0.1990 0.5000
Br7 0.5000 0.5000 0.2048
Br8 0.5000 0.5000 0.7952
Br9 0.5743 0.8010 0.5000
Br10 0.6990 0.9257 0.0000
Br11 0.8010 0.4257 0.5000
Br12 0.9257 0.3010 0.0000
```

Largest 10 diffraction maxima, in order of rising 2θ, 15° ≤ 2θ ≤ 90°:
| 2θ (°) | I/Imax |
| --- | --- |
| 25.57 | 29 |
| 25.92 | 40 |
| 31.65 | 74 |
| 32.99 | 51 |
| 33.79 | 100 |
| 35.43 | 39 |
| 36.81 | 38 |
| 41.97 | 25 |
| 45.29 | 31 |
| 59.07 | 23 |

---

Record 7
BaSb2Xe5F22: theoretical powder XRD pattern (Cu Kα), based on a cell relaxed with PBE.
Kinematic intensities with the Lorentz-polarization factor, no thermal factor.

```
data_BaSb2Xe5F22
_chemical_formula_sum 'Ba1 Sb2 Xe5 F22'
_cell_length_a 10.0586
_cell_length_b 9.4136
_cell_length_c 9.4056
_cell_angle_alpha 64.62
_cell_angle_beta 57.73
_cell_angle_gamma 57.65
_space_group_name_H-M_alt 'P 1'
_space_group_IT_number 1
loop_
_space_group_symop_operation_xyz
'x,y,z'
loop_
_atom_site_label
_atom_site_fract_x
_atom_site_fract_y
_atom_site_fract_z
Ba1 0.0000 0.0000 0.0000
Sb1 0.0000 0.5000 0.0000
Sb2 0.5000 0.0000 0.5000
Xe1 0.0000 0.0000 0.5000
Xe2 0.0000 0.5000 0.5000
Xe3 0.5000 0.0000 0.0000
Xe4 0.5000 0.5000 0.0000
Xe5 0.5000 0.5000 0.5000
F1 0.0437 0.2932 0.9563
F2 0.0472 0.6027 0.7620
F3 0.0596 0.6984 0.3016
F4 0.0705 0.9295 0.6995
F5 0.2380 0.4118 0.9528
F6 0.2932 0.0437 0.7068
F7 0.3005 0.6995 0.9295
F8 0.3016 0.9404 0.0596
F9 0.3545 0.6455 0.3545
F10 0.3973 0.9528 0.4118
F11 0.4118 0.2380 0.3973
F12 0.5882 0.7620 0.6027
F13 0.6027 0.0472 0.5882
F14 0.6455 0.3545 0.6455
F15 0.6984 0.0596 0.9404
F16 0.6995 0.3005 0.0705
F17 0.7068 0.9563 0.2932
F18 0.7620 0.5882 0.0472
F19 0.9295 0.0705 0.3005
F20 0.9404 0.3016 0.6984
F21 0.9528 0.3973 0.2380
F22 0.9563 0.7068 0.0437
```

Largest 10 diffraction maxima, in order of rising 2θ, 15° ≤ 2θ ≤ 90°:
| 2θ (°) | I/Imax |
| --- | --- |
| 22.83 | 100 |
| 25.04 | 32 |
| 28.99 | 14 |
| 35.71 | 13 |
| 38.67 | 22 |
| 42.80 | 35 |
| 46.63 | 15 |
| 47.84 | 13 |
| 61.11 | 14 |
| 66.12 | 17 |

---

Record 8
CaMnPb3: theoretical powder XRD pattern (Cu Kα), based on a cell relaxed with PBE.
Kinematic intensities with the Lorentz-polarization factor, no thermal factor.

```
data_CaMnPb3
_chemical_formula_sum 'Ca1 Mn1 Pb3'
_cell_length_a 5.3123
_cell_length_b 5.3123
_cell_length_c 5.3123
_cell_angle_alpha 90.00
_cell_angle_beta 90.00
_cell_angle_gamma 90.00
_space_group_name_H-M_alt 'P 1'
_space_group_IT_number 1
loop_
_space_group_symop_operation_xyz
'x,y,z'
loop_
_atom_site_label
_atom_site_fract_x
_atom_site_fract_y
_atom_site_fract_z
Ca1 0.0000 0.0000 0.0000
Mn1 0.5000 0.5000 0.5000
Pb1 0.0000 0.5000 0.5000
Pb2 0.5000 0.0000 0.5000
Pb3 0.5000 0.5000 0.0000
```

Largest 10 diffraction maxima, in order of rising 2θ, 15° ≤ 2θ ≤ 90°:
| 2θ (°) | I/Imax |
| --- | --- |
| 16.69 | 37 |
| 29.12 | 100 |
| 33.74 | 73 |
| 37.87 | 20 |
| 48.47 | 53 |
| 51.62 | 11 |
| 57.54 | 46 |
| 60.36 | 18 |
| 78.48 | 20 |
| 80.93 | 25 |

---

Record 9
Pu6Ru2Rh: theoretical powder XRD pattern (Cu Kα), based on a cell relaxed with PBE.
Kinematic intensities with the Lorentz-polarization factor, no thermal factor.

```
data_Pu6Ru2Rh
_chemical_formula_sum 'Pu6 Ru2 Rh1'
_cell_length_a 5.0666
_cell_length_b 5.0666
_cell_length_c 8.4023
_cell_angle_alpha 90.56
_cell_angle_beta 90.56
_cell_angle_gamma 56.99
_space_group_name_H-M_alt 'P 1'
_space_group_IT_number 1
loop_
_space_group_symop_operation_xyz
'x,y,z'
loop_
_atom_site_label
_atom_site_fract_x
_atom_site_fract_y
_atom_site_fract_z
Pu1 0.0032 0.0032 0.1748
Pu2 0.3307 0.3307 0.5975
Pu3 0.3389 0.3389 0.9324
Pu4 0.6611 0.6611 0.0676
Pu5 0.6693 0.6693 0.4025
Pu6 0.9968 0.9968 0.8252
Ru1 0.3434 0.3434 0.2554
Ru2 0.6566 0.6566 0.7446
Rh1 0.0000 0.0000 0.5000
```

Largest 10 diffraction maxima, in order of rising 2θ, 15° ≤ 2θ ≤ 90°:
| 2θ (°) | I/Imax |
| --- | --- |
| 35.49 | 100 |
| 37.20 | 45 |
| 38.15 | 39 |
| 38.40 | 76 |
| 52.20 | 15 |
| 54.34 | 29 |
| 65.32 | 17 |
| 65.83 | 16 |
| 65.96 | 17 |
| 67.87 | 16 |

---

Record 10
HfTlGe: theoretical powder XRD pattern (Cu Kα), based on a cell relaxed with PBE.
Kinematic intensities with the Lorentz-polarization factor, no thermal factor.

```
data_HfTlGe
_chemical_formula_sum 'Hf2 Tl2 Ge2'
_cell_length_a 3.7788
_cell_length_b 3.7788
_cell_length_c 9.3459
_cell_angle_alpha 90.00
_cell_angle_beta 90.00
_cell_angle_gamma 90.00
_space_group_name_H-M_alt 'P 1'
_space_group_IT_number 1
loop_
_space_group_symop_operation_xyz
'x,y,z'
loop_
_atom_site_label
_atom_site_fract_x
_atom_site_fract_y
_atom_site_fract_z
Hf1 0.2500 0.2500 0.2229
Hf2 0.7500 0.7500 0.7771
Tl1 0.2500 0.2500 0.6103
Tl2 0.7500 0.7500 0.3897
Ge1 0.2500 0.7500 0.0000
Ge2 0.7500 0.2500 0.0000
```

Largest 10 diffraction maxima, in order of rising 2θ, 15° ≤ 2θ ≤ 90°:
| 2θ (°) | I/Imax |
| --- | --- |
| 30.42 | 100 |
| 33.54 | 54 |
| 34.92 | 43 |
| 37.41 | 96 |
| 38.82 | 34 |
| 48.16 | 45 |
| 48.72 | 17 |
| 58.04 | 33 |
| 62.53 | 44 |
| 70.92 | 22 |

---

Record 11
Y2Zn3Au: theoretical powder XRD pattern (Cu Kα), based on a cell relaxed with PBE.
Kinematic intensities with the Lorentz-polarization factor, no thermal factor.

```
data_Y2Zn3Au
_chemical_formula_sum 'Y4 Zn6 Au2'
_cell_length_a 9.0556
_cell_length_b 8.6079
_cell_length_c 5.7068
_cell_angle_alpha 75.46
_cell_angle_beta 66.95
_cell_angle_gamma 37.59
_space_group_name_H-M_alt 'P 1'
_space_group_IT_number 1
loop_
_space_group_symop_operation_xyz
'x,y,z'
loop_
_atom_site_label
_atom_site_fract_x
_atom_site_fract_y
_atom_site_fract_z
Y1 0.2453 0.7547 0.7547
Y2 0.2500 0.2500 0.2500
Y3 0.7500 0.7500 0.7500
Y4 0.7547 0.2453 0.2453
Zn1 0.1730 0.6640 0.3360
Zn2 0.3360 0.8270 0.1730
Zn3 0.3367 0.3367 0.6633
Zn4 0.6633 0.6633 0.3367
Zn5 0.6640 0.1730 0.8270
Zn6 0.8270 0.3360 0.6640
Au1 0.1674 0.1674 0.8326
Au2 0.8326 0.8326 0.1674
```

Largest 10 diffraction maxima, in order of rising 2θ, 15° ≤ 2θ ≤ 90°:
| 2θ (°) | I/Imax |
| --- | --- |
| 23.38 | 26 |
| 25.36 | 19 |
| 34.25 | 52 |
| 34.35 | 100 |
| 39.82 | 79 |
| 40.09 | 38 |
| 52.09 | 17 |
| 53.72 | 28 |
| 67.51 | 31 |
| 67.71 | 19 |

---

Record 12
Na2ReCl4O2: theoretical powder XRD pattern (Cu Kα), based on a cell relaxed with PBE.
Kinematic intensities with the Lorentz-polarization factor, no thermal factor.

```
data_Na2ReCl4O2
_chemical_formula_sum 'Na2 Re1 Cl4 O2'
_cell_length_a 6.9708
_cell_length_b 6.9708
_cell_length_c 6.2259
_cell_angle_alpha 111.03
_cell_angle_beta 111.03
_cell_angle_gamma 61.68
_space_group_name_H-M_alt 'P 1'
_space_group_IT_number 1
loop_
_space_group_symop_operation_xyz
'x,y,z'
loop_
_atom_site_label
_atom_site_fract_x
_atom_site_fract_y
_atom_site_fract_z
Na1 0.2326 0.2326 0.1999
Na2 0.7674 0.7674 0.8001
Re1 0.0000 0.0000 0.5000
Cl1 0.1492 0.6747 0.2020
Cl2 0.3253 0.8508 0.7980
Cl3 0.6747 0.1492 0.2020
Cl4 0.8508 0.3253 0.7980
O1 0.1342 0.1342 0.4422
O2 0.8658 0.8658 0.5578
```

Largest 10 diffraction maxima, in order of rising 2θ, 15° ≤ 2θ ≤ 90°:
| 2θ (°) | I/Imax |
| --- | --- |
| 15.67 | 37 |
| 16.30 | 56 |
| 17.26 | 100 |
| 18.97 | 45 |
| 24.03 | 72 |
| 26.16 | 41 |
| 29.57 | 40 |
| 29.93 | 32 |
| 37.13 | 46 |
| 38.49 | 35 |